# 1
Starting from the PBE+U geometry in the Materials Project, the powder X-ray diffraction pattern of Li4VCr3O8 was calculated for Cu Kα X-rays.

Principal peaks in the range 15 to 90 degrees two-theta, sorted by position:
2θ 18.27, I 100; 2θ 35.24, I 14; 2θ 35.39, I 27; 2θ 36.97, I 11; 2θ 42.84, I 28; 2θ 43.04, I 55; 2θ 47.06, I 12; 2θ 62.28, I 15; 2θ 62.42, I 14; 2θ 62.51, I 15

Cell and atoms:
a b c (Å): 5.157 5.962 10.717
angles (deg): 105.90 94.61 107.03
Sites, in units of the cell vectors:
Li 0.000 0.000 0.000
Li 0.000 0.124 0.749
Li 0.000 0.250 0.499
Li 0.000 0.500 0.000
Li 0.000 0.750 0.501
Li 0.000 0.876 0.251
Li 0.003 0.377 0.251
Li 0.997 0.623 0.749
V 0.500 0.061 0.876
V 0.500 0.939 0.124
Cr 0.499 0.559 0.874
Cr 0.500 0.186 0.625
Cr 0.500 0.314 0.375
Cr 0.500 0.686 0.625
Cr 0.500 0.814 0.375
Cr 0.501 0.441 0.126
O 0.270 0.783 0.938
O 0.273 0.290 0.941
O 0.274 0.168 0.190
O 0.275 0.411 0.689
O 0.275 0.911 0.689
O 0.276 0.038 0.439
O 0.276 0.539 0.440
O 0.276 0.665 0.190
O 0.724 0.335 0.810
O 0.724 0.461 0.560
O 0.724 0.962 0.561
O 0.725 0.089 0.311
O 0.725 0.589 0.311
O 0.726 0.832 0.810
O 0.727 0.710 0.059
O 0.730 0.217 0.062


# 2
Starting from the PBE+U geometry in the Materials Project, the powder X-ray diffraction pattern of Li2FeNiO4 was calculated for Cu Kα X-rays.

Principal peaks in the range 15 to 90 degrees two-theta, sorted by position:
2θ 18.68, I 100; 2θ 36.15, I 44; 2θ 37.82, I 15; 2θ 43.97, I 75; 2θ 48.16, I 15; 2θ 58.24, I 16; 2θ 63.85, I 13; 2θ 63.98, I 27; 2θ 67.16, I 10; 2θ 80.85, I 6

Cell and atoms:
a b c (Å): 5.039 2.911 5.053
angles (deg): 90.00 109.53 90.00
Sites, in units of the cell vectors:
Li 0.000 0.000 0.000
Li 0.000 0.500 0.500
Fe 0.500 0.000 0.500
Ni 0.500 0.500 0.000
O 0.272 0.500 0.275
O 0.278 0.000 0.734
O 0.722 0.000 0.266
O 0.728 0.500 0.725


# 3
Starting from the PBE+U geometry in the Materials Project, the powder X-ray diffraction pattern of Rb4MgFe4O8 was calculated for Cu Kα X-rays.

Principal peaks in the range 15 to 90 degrees two-theta, sorted by position:
2θ 25.89, I 17; 2θ 28.01, I 36; 2θ 28.17, I 47; 2θ 31.32, I 44; 2θ 31.44, I 100; 2θ 31.78, I 14; 2θ 32.53, I 42; 2θ 40.94, I 20; 2θ 50.26, I 13; 2θ 53.02, I 16

Cell and atoms:
a b c (Å): 5.845 5.848 8.824
angles (deg): 91.09 91.59 103.15
Sites, in units of the cell vectors:
Rb 0.000 0.000 0.000
Rb 0.002 0.536 0.690
Rb 0.427 0.077 0.285
Rb 0.484 0.600 0.488
Mg 0.695 0.362 0.989
Fe 0.399 0.665 0.990
Fe 0.445 0.138 0.740
Fe 0.933 0.528 0.244
Fe 0.941 0.041 0.493
O 0.035 0.750 0.398
O 0.052 0.529 0.030
O 0.127 0.057 0.690
O 0.520 0.016 0.945
O 0.530 0.469 0.817
O 0.612 0.535 0.164
O 0.636 0.101 0.579
O 0.948 0.227 0.302


# 4
Starting from the PBE+U geometry in the Materials Project, the powder X-ray diffraction pattern of KNiBr3O6 was calculated for Cu Kα X-rays.

Principal peaks in the range 15 to 90 degrees two-theta, sorted by position:
2θ 17.44, I 100; 2θ 26.41, I 35; 2θ 29.05, I 32; 2θ 29.64, I 51; 2θ 30.49, I 29; 2θ 30.85, I 38; 2θ 31.99, I 28; 2θ 36.40, I 24; 2θ 36.83, I 20; 2θ 37.01, I 20

Cell and atoms:
a b c (Å): 6.399 6.399 12.172
angles (deg): 104.72 104.72 66.91
Sites, in units of the cell vectors:
K 0.053 0.947 0.750
K 0.947 0.053 0.250
Ni 0.000 0.500 0.000
Ni 0.500 0.000 0.500
Br 0.000 0.500 0.500
Br 0.254 0.392 0.253
Br 0.392 0.254 0.753
Br 0.500 0.000 0.000
Br 0.608 0.746 0.247
Br 0.746 0.608 0.747
O 0.028 0.369 0.138
O 0.161 0.651 0.343
O 0.209 0.213 0.935
O 0.213 0.209 0.435
O 0.349 0.839 0.157
O 0.369 0.028 0.638
O 0.631 0.972 0.362
O 0.651 0.161 0.843
O 0.787 0.791 0.565
O 0.791 0.787 0.065
O 0.839 0.349 0.657
O 0.972 0.631 0.862